[1]
Starting from a structure optimized by DFT (PBE), the XRD peak list of Ba3Ni2H12 was simulated for a wavelength of 1.5418 Å.
Intensities are scaled so that the largest is 100.

Main lines, in order of falling intensity (10 to 90 degrees two-theta):
| Position (°2θ) | Rel. int. | h k l |
| --- | --- | --- |
| 28.8 | 100 | 0 1 2 |
| 22.1 | 80 | 1 0 1 |
| 34.0 | 80 | 1 1 0 |
| 45.1 | 30 | 2 0 2 |
| 57.7 | 27 | 1 2 2 |
| 37.5 | 23 | 1 0 3 |
| 47.2 | 23 | 1 1 3 |
| 40.9 | 18 | 0 2 1 |
| 54.2 | 17 | 0 0 5 |
| 60.9 | 14 | 3 0 0 |

Cell and atoms:
```
data_Ba3Ni2H12
_chemical_formula_sum 'Ba3 Ni2 H12'
_cell_length_a 5.2729
_cell_length_b 5.2729
_cell_length_c 8.4689
_cell_angle_alpha 90.00
_cell_angle_beta 90.00
_cell_angle_gamma 120.00
_symmetry_space_group_name_H-M 'P -3 m 1'
_symmetry_Int_Tables_number 164
_symmetry_space_group_name_Hall '-P 3 2"'
loop_
_atom_site_label
_atom_site_type_symbol
_atom_site_fract_x
_atom_site_fract_y
_atom_site_fract_z
Ba1 Ba 0.0000 0.0000 0.0000
Ba2 Ba 0.3333 0.6667 0.6377
Ni1 Ni 0.3333 0.6667 0.2320
H1 H 0.0595 0.5298 0.1226
H2 H 0.1893 0.3785 0.3359
```

---

[2]
Starting from a structure optimized by DFT (PBE), the XRD peak list of Ba3NiH6 was simulated for a wavelength of 1.5418 Å.
Intensities are scaled so that the largest is 100.

Main lines, in order of falling intensity (10 to 90 degrees two-theta):
| Position (°2θ) | Rel. int. | h k l |
| --- | --- | --- |
| 29.7 | 100 | 2 2 0 |
| 52.7 | 39 | 4 2 2 |
| 85.4 | 20 | 6 4 2 |
| 42.5 | 19 | 4 0 0 |
| 69.9 | 17 | 6 2 0 |
| 61.7 | 12 | 4 4 0 |
| 77.8 | 4 | 4 4 4 |
| 18.1 | 4 | 1 1 1 |
| 35.0 | 3 | 3 1 1 |
| 20.9 | 2 | 2 0 0 |

Cell and atoms:
```
data_Ba3NiH6
_chemical_formula_sum 'Ba12 Ni4 H24'
_cell_length_a 8.507
_cell_length_b 8.507
_cell_length_c 8.507
_cell_angle_alpha 90.00
_cell_angle_beta 90.00
_cell_angle_gamma 90.00
_symmetry_space_group_name_H-M 'F m -3 m'
_symmetry_Int_Tables_number 225
_symmetry_space_group_name_Hall '-F 4 2 3'
loop_
_atom_site_label
_atom_site_type_symbol
_atom_site_fract_x
_atom_site_fract_y
_atom_site_fract_z
Ba1 Ba 0.000 0.000 0.000
Ba2 Ba 0.250 0.250 0.250
Ni1 Ni 0.000 0.000 0.500
H1 H 0.000 0.000 0.303
```

---

[3]
Starting from a structure optimized by DFT (PBE), the XRD peak list of Ba2H2PdS10O34 was simulated for a wavelength of 1.5418 Å.
Intensities are scaled so that the largest is 100.

Main lines, in order of falling intensity (10 to 90 degrees two-theta):
| Position (°2θ) | Rel. int. | h k l |
| --- | --- | --- |
| 22.9 | 100 | 1 0 2 |
| 23.6 | 73 | -1 1 2 |
| 25.1 | 63 | 1 2 0 |
| 24.8 | 52 | -2 1 1 |
| 31.6 | 51 | -1 3 1 |
| 14.2 | 48 | 1 1 1 |
| 19.3 | 38 | 0 2 1 |
| 26.4 | 35 | 1 0 -2 |
| 14.7 | 32 | 1 -1 0 |
| 29.6 | 32 | 0 2 -1 |

Cell and atoms:
```
data_Ba2H2PdS10O34
_chemical_formula_sum 'Ba2 H2 Pd1 S10 O34'
_cell_length_a 8.747
_cell_length_b 9.198
_cell_length_c 9.288
_cell_angle_alpha 60.38
_cell_angle_beta 79.67
_cell_angle_gamma 87.49
_symmetry_space_group_name_H-M 'P -1'
_symmetry_Int_Tables_number 2
loop_
_symmetry_equiv_pos_as_xyz
'x,y,z'
'-x,-y,-z'
loop_
_atom_site_label
_atom_site_type_symbol
_atom_site_fract_x
_atom_site_fract_y
_atom_site_fract_z
Ba1 Ba 0.239 0.195 0.086
H1 H 0.067 0.654 0.444
Pd1 Pd 0.500 0.500 0.500
S1 S 0.110 0.749 0.175
S2 S 0.146 0.646 0.729
S3 S 0.198 0.999 0.593
S4 S 0.365 0.530 0.209
S5 S 0.429 0.119 0.706
O1 O 0.000 0.343 0.177
O2 O 0.006 0.805 0.059
O3 O 0.018 0.648 0.353
O4 O 0.077 0.023 0.704
O5 O 0.140 0.676 0.562
O6 O 0.174 0.039 0.430
O7 O 0.200 0.606 0.142
O8 O 0.224 0.863 0.162
O9 O 0.245 0.516 0.821
O10 O 0.261 0.817 0.687
O11 O 0.303 0.163 0.797
O12 O 0.324 0.478 0.392
O13 O 0.354 0.103 0.557
O14 O 0.379 0.391 0.178
O15 O 0.452 0.745 0.411
O16 O 0.480 0.666 0.116
O17 O 0.498 0.962 0.795
```